(1)
The following is a calculated powder X-ray diffraction pattern of CrCu2Tc. It was derived from a DFT-relaxed cell (GGA-PBE, Alexandria), using Cu Ka.
Intensities are scaled so that the largest is 100.

Largest 10 diffraction maxima, low angle first, 2θ from 5° to 70°:
| 2theta | d [Å] | Rel. int. |
| --- | --- | --- |
| 21.30 | 4.172 | 8 |
| 39.07 | 2.306 | 15 |
| 42.46 | 2.129 | 49 |
| 42.95 | 2.106 | 100 |
| 43.38 | 2.086 | 49 |
| 44.92 | 2.018 | 64 |
| 47.99 | 1.896 | 14 |
| 59.78 | 1.547 | 8 |
| 62.33 | 1.490 | 23 |
| 65.43 | 1.426 | 9 |

Unit cell a=2.4933 b=4.1722 c=4.9025 alpha=90.00 beta=95.68 gamma=90.00
Element x y z (fractional)
Cr 0.0000 0.0000 0.0000
Cu 0.6039 0.0000 0.4977
Cu 0.6159 0.5000 0.2542
Tc 0.1892 0.5000 0.7584


(2)
The following is a calculated powder X-ray diffraction pattern of Cr2CuTc. It was derived from a DFT-relaxed cell (GGA-PBE, Alexandria), using Cu Ka.
Intensities are scaled so that the largest is 100.

Largest 10 diffraction maxima, low angle first, 2θ from 5° to 70°:
| 2theta | d [Å] | Rel. int. |
| --- | --- | --- |
| 21.25 | 4.182 | 16 |
| 28.19 | 3.165 | 6 |
| 37.12 | 2.422 | 4 |
| 43.16 | 2.096 | 100 |
| 43.27 | 2.091 | 50 |
| 44.10 | 2.054 | 94 |
| 44.28 | 2.046 | 45 |
| 49.61 | 1.838 | 4 |
| 63.19 | 1.471 | 15 |
| 63.63 | 1.462 | 28 |

Unit cell a=2.4866 b=4.1818 c=4.9201 alpha=90.00 beta=100.07 gamma=90.00
Element x y z (fractional)
Cr 0.2175 0.0000 0.2397
Cr 0.7825 0.0000 0.7603
Cu 0.5000 0.5000 0.0000
Tc 0.0000 0.5000 0.5000


(3)
The following is a calculated powder X-ray diffraction pattern of Cr4Cu3Te8. It was derived from a DFT-relaxed cell (GGA-PBE, Alexandria), using Cu Ka.
Intensities are scaled so that the largest is 100.

Largest 10 diffraction maxima, low angle first, 2θ from 5° to 70°:
| 2theta | d [Å] | Rel. int. |
| --- | --- | --- |
| 25.97 | 3.431 | 14 |
| 27.22 | 3.277 | 100 |
| 31.44 | 2.846 | 56 |
| 31.72 | 2.821 | 29 |
| 41.24 | 2.189 | 18 |
| 44.97 | 2.016 | 21 |
| 45.14 | 2.009 | 19 |
| 45.26 | 2.003 | 79 |
| 53.38 | 1.716 | 14 |
| 53.80 | 1.704 | 15 |

Unit cell a=8.0141 b=8.0141 c=8.0141 alpha=119.83 beta=119.60 gamma=90.50
Element x y z (fractional)
Cr 0.2401 0.0000 0.2401
Cr 0.7493 0.0047 0.2554
Cr 0.7493 0.4939 0.7446
Cr 0.7599 0.0000 0.7599
Cu 0.1225 0.6225 0.5000
Cu 0.3690 0.3690 0.0000
Cu 0.5978 0.5978 0.0000
Te 0.4933 0.2138 0.7205
Te 0.4933 0.7729 0.2795
Te 0.5059 0.2399 0.2659
Te 0.5166 0.7556 0.7610
Te 0.9740 0.2399 0.7341
Te 0.9902 0.2267 0.2364
Te 0.9902 0.7538 0.7636
Te 0.9946 0.7556 0.2390


(4)
The following is a calculated powder X-ray diffraction pattern of CrCu3Te. It was derived from a DFT-relaxed cell (GGA-PBE, Alexandria), using Cu Ka.
Intensities are scaled so that the largest is 100.

Largest 10 diffraction maxima, low angle first, 2θ from 5° to 70°:
| 2theta | d [Å] | Rel. int. |
| --- | --- | --- |
| 18.26 | 4.859 | 76 |
| 25.93 | 3.436 | 41 |
| 31.90 | 2.805 | 26 |
| 37.00 | 2.430 | 100 |
| 41.56 | 2.173 | 38 |
| 45.74 | 1.984 | 17 |
| 53.33 | 1.718 | 66 |
| 56.84 | 1.620 | 19 |
| 63.50 | 1.465 | 8 |
| 66.68 | 1.403 | 21 |

Unit cell a=4.8591 b=4.8591 c=4.8591 alpha=90.00 beta=90.00 gamma=90.00
Element x y z (fractional)
Cr 0.0000 0.0000 0.0000
Cu 0.0000 0.5000 0.5000
Cu 0.5000 0.0000 0.5000
Cu 0.5000 0.5000 0.0000
Te 0.5000 0.5000 0.5000


(5)
The following is a calculated powder X-ray diffraction pattern of Tl2CrCuTe4. It was derived from a DFT-relaxed cell (GGA-PBE, Alexandria), using Cu Ka.
Intensities are scaled so that the largest is 100.

Largest 10 diffraction maxima, low angle first, 2θ from 5° to 70°:
| 2theta | d [Å] | Rel. int. |
| --- | --- | --- |
| 25.31 | 3.519 | 20 |
| 26.42 | 3.373 | 100 |
| 29.39 | 3.039 | 34 |
| 30.31 | 2.949 | 65 |
| 30.82 | 2.901 | 26 |
| 37.40 | 2.404 | 33 |
| 44.34 | 2.043 | 18 |
| 47.91 | 1.899 | 18 |
| 48.27 | 1.885 | 17 |
| 49.12 | 1.855 | 21 |

Unit cell a=14.0757 b=12.5164 c=7.7014 alpha=84.69 beta=62.30 gamma=33.01
Element x y z (fractional)
Tl 0.0601 0.0601 0.6899
Tl 0.3101 0.3101 0.9399
Tl 0.6899 0.6899 0.0601
Tl 0.9399 0.9399 0.3101
Cr 0.1250 0.1250 0.1250
Cr 0.8750 0.8750 0.8750
Cu 0.3750 0.3750 0.3750
Cu 0.6250 0.6250 0.6250
Te 0.0554 0.3146 0.4016
Te 0.2716 0.5984 0.6854
Te 0.3146 0.0554 0.7284
Te 0.4016 0.7284 0.0554
Te 0.5984 0.2716 0.9446
Te 0.6854 0.9446 0.2716
Te 0.7284 0.4016 0.3146
Te 0.9446 0.6854 0.5984


(6)
The following is a calculated powder X-ray diffraction pattern of Cr2CuW. It was derived from a DFT-relaxed cell (GGA-PBE, Alexandria), using Cu Ka.
Intensities are scaled so that the largest is 100.

Largest 10 diffraction maxima, low angle first, 2θ from 5° to 70°:
| 2theta | d [Å] | Rel. int. |
| --- | --- | --- |
| 10.63 | 8.322 | 75 |
| 21.35 | 4.161 | 18 |
| 32.27 | 2.774 | 17 |
| 38.19 | 2.357 | 17 |
| 38.72 | 2.326 | 12 |
| 40.77 | 2.213 | 100 |
| 42.25 | 2.139 | 19 |
| 43.50 | 2.080 | 24 |
| 48.26 | 1.886 | 58 |
| 68.68 | 1.367 | 20 |

Unit cell a=8.4701 b=8.4701 c=8.4701 alpha=18.57 beta=18.57 gamma=18.57
Element x y z (fractional)
Cr 0.0000 0.0000 0.0000
Cr 0.2657 0.2657 0.2657
Cu 0.7514 0.7514 0.7514
W 0.5088 0.5088 0.5088


(7)
The following is a calculated powder X-ray diffraction pattern of CrCu2W. It was derived from a DFT-relaxed cell (GGA-PBE, Alexandria), using Cu Ka.
Intensities are scaled so that the largest is 100.

Largest 10 diffraction maxima, low angle first, 2θ from 5° to 70°:
| 2theta | d [Å] | Rel. int. |
| --- | --- | --- |
| 20.85 | 4.261 | 66 |
| 21.81 | 4.075 | 18 |
| 37.69 | 2.387 | 15 |
| 40.87 | 2.208 | 12 |
| 41.59 | 2.172 | 100 |
| 42.43 | 2.131 | 94 |
| 44.47 | 2.037 | 41 |
| 50.70 | 1.801 | 28 |
| 51.31 | 1.780 | 27 |
| 69.69 | 1.349 | 20 |

Unit cell a=4.7803 b=4.7803 c=2.5665 alpha=90.34 beta=90.34 gamma=116.95
Element x y z (fractional)
Cr 0.0000 0.0000 0.0000
Cu 0.0000 0.5000 0.5000
Cu 0.5000 0.0000 0.5000
W 0.5000 0.5000 0.0000


(8)
The following is a calculated powder X-ray diffraction pattern of Cr2CuW. It was derived from a DFT-relaxed cell (GGA-PBE, Alexandria), using Cu Ka.
Intensities are scaled so that the largest is 100.

Largest 10 diffraction maxima, low angle first, 2θ from 5° to 70°:
| 2theta | d [Å] | Rel. int. |
| --- | --- | --- |
| 21.91 | 4.057 | 14 |
| 24.12 | 3.689 | 25 |
| 30.98 | 2.887 | 18 |
| 39.80 | 2.265 | 14 |
| 42.78 | 2.114 | 100 |
| 43.71 | 2.071 | 24 |
| 44.67 | 2.029 | 21 |
| 54.53 | 1.683 | 8 |
| 59.89 | 1.545 | 9 |
| 64.27 | 1.449 | 13 |

Unit cell a=4.8101 b=4.8101 c=4.8101 alpha=142.54 beta=128.99 gamma=64.98
Element x y z (fractional)
Cr 0.0000 0.0000 0.0000
Cr 0.7794 0.2794 0.5000
Cu 0.2610 0.7610 0.5000
W 0.5306 0.5306 0.0000


(9)
The following is a calculated powder X-ray diffraction pattern of ZnCrCu2. It was derived from a DFT-relaxed cell (GGA-PBE, Alexandria), using Cu Ka.
Intensities are scaled so that the largest is 100.

Largest 10 diffraction maxima, low angle first, 2θ from 5° to 70°:
| 2theta | d [Å] | Rel. int. |
| --- | --- | --- |
| 15.61 | 5.676 | 5 |
| 41.71 | 2.165 | 100 |
| 43.32 | 2.089 | 88 |
| 43.63 | 2.074 | 86 |
| 44.80 | 2.023 | 2 |
| 57.11 | 1.613 | 1 |
| 57.36 | 1.606 | 1 |
| 59.97 | 1.543 | 16 |
| 60.95 | 1.520 | 15 |
| 65.82 | 1.419 | 11 |

Unit cell a=3.0400 b=3.0853 c=5.6757 alpha=90.00 beta=90.00 gamma=90.00
Element x y z (fractional)
Zn 0.0000 0.0000 0.0000
Cr 0.5000 0.5000 0.2722
Cu 0.0000 0.0000 0.5239
Cu 0.5000 0.5000 0.7587


(10)
The following is a calculated powder X-ray diffraction pattern of ZrCrCu. It was derived from a DFT-relaxed cell (GGA-PBE, Alexandria), using Cu Ka.
Intensities are scaled so that the largest is 100.

Largest 10 diffraction maxima, low angle first, 2θ from 5° to 70°:
| 2theta | d [Å] | Rel. int. |
| --- | --- | --- |
| 35.40 | 2.535 | 72 |
| 35.73 | 2.513 | 47 |
| 36.17 | 2.483 | 33 |
| 37.43 | 2.403 | 100 |
| 40.07 | 2.250 | 16 |
| 41.15 | 2.194 | 19 |
| 41.74 | 2.164 | 63 |
| 46.29 | 1.961 | 64 |
| 56.40 | 1.631 | 17 |
| 59.24 | 1.560 | 17 |

Unit cell a=4.9941 b=4.9941 c=6.6330 alpha=126.69 beta=126.69 gamma=51.35
Element x y z (fractional)
Zr 0.2493 0.2493 0.2060
Zr 0.7507 0.7507 0.7940
Cr 0.0430 0.0430 0.4023
Cr 0.9570 0.9570 0.5977
Cu 0.4432 0.4432 0.7791
Cu 0.5568 0.5568 0.2209


(11)
The following is a calculated powder X-ray diffraction pattern of ZrCrCu. It was derived from a DFT-relaxed cell (GGA-PBE, Alexandria), using Cu Ka.
Intensities are scaled so that the largest is 100.

Largest 10 diffraction maxima, low angle first, 2θ from 5° to 70°:
| 2theta | d [Å] | Rel. int. |
| --- | --- | --- |
| 29.90 | 2.988 | 39 |
| 35.09 | 2.557 | 34 |
| 37.45 | 2.401 | 13 |
| 38.51 | 2.338 | 17 |
| 40.20 | 2.243 | 100 |
| 42.31 | 2.136 | 38 |
| 42.55 | 2.125 | 47 |
| 43.04 | 2.102 | 16 |
| 45.27 | 2.003 | 57 |
| 61.57 | 1.506 | 23 |

Unit cell a=4.6751 b=5.2514 c=5.2514 alpha=47.73 beta=90.00 gamma=90.00
Element x y z (fractional)
Zr 0.0000 0.0000 0.0000
Zr 0.5000 0.4308 0.4308
Cr 0.2831 0.7238 0.7238
Cr 0.7169 0.7238 0.7238
Cu 0.0000 0.2879 0.2879
Cu 0.5000 0.1392 0.1392


Question: Which formula does entry 4 have?
Answer: CrCu3Te